Record 1
The following is a computed powder XRD pattern of Ir4Ru. It was derived from a structure optimized by DFT (PBE), using λ = 1.5418 Å (Cu Kα).
Kinematic intensities with the Lorentz-polarization factor, no thermal factor.

```
Ir4Ru
1.0
1.3627 0.7868 11.1809
-1.3627 0.7868 11.1809
0.0000 -1.5735 11.1809
Ir Ru
4 1
Direct
0.1010 0.1010 0.1010 Ir
0.3000 0.3000 0.3000 Ir
0.7000 0.7000 0.7000 Ir
0.8990 0.8990 0.8990 Ir
0.5000 0.5000 0.5000 Ru
```

Peak list (10 most intense, 10° ≤ 2θ ≤ 90°, sorted by position)
two_theta  I (rel.)
40.33  34
40.52  100
47.08  65
68.65  21
68.90  21
82.74  13
82.98  26
83.10  13
87.18  4
87.65  12



Record 2
The following is a computed powder XRD pattern of DySc3Sn2. It was derived from a structure optimized by DFT (PBE), using λ = 1.5418 Å (Cu Kα).
Kinematic intensities with the Lorentz-polarization factor, no thermal factor.

```
DySc3Sn2
1.0
-3.4362 7.0525 3.5174
3.4362 -7.0525 3.5174
3.4362 7.0525 -3.5174
Dy Sc Sn
2 6 4
Direct
0.0000 0.0000 0.0000 Dy
0.5000 0.5000 0.0000 Dy
0.0400 0.2500 0.7900 Sc
0.2500 0.7500 0.5000 Sc
0.4600 0.2500 0.2100 Sc
0.5400 0.7500 0.7900 Sc
0.7500 0.2500 0.5000 Sc
0.9600 0.7500 0.2100 Sc
0.1447 0.6725 0.8172 Sn
0.3553 0.1725 0.5278 Sn
0.6447 0.8275 0.4722 Sn
0.8553 0.3275 0.1828 Sn
```

Peak list (10 most intense, 10° ≤ 2θ ≤ 90°, sorted by position)
two_theta  I (rel.)
22.04  82
22.92  20
25.32  24
29.62  23
34.41  100
36.52  40
38.80  23
42.68  24
47.82  27
67.40  32



Record 3
The following is a computed powder XRD pattern of Nd2Y3Tm. It was derived from a structure optimized by DFT (PBE), using λ = 1.5418 Å (Cu Kα).
Kinematic intensities with the Lorentz-polarization factor, no thermal factor.

```
Nd2Y3Tm
1.0
6.2403 0.0000 0.0000
-3.1201 5.4042 0.0000
0.0000 0.0000 11.6300
Nd Y Tm
4 6 2
Direct
0.3333 0.6667 0.0000 Nd
0.3333 0.6667 0.5000 Nd
0.6667 0.3333 0.0000 Nd
0.6667 0.3333 0.5000 Nd
0.0000 0.3312 0.2500 Y
0.0000 0.6688 0.7500 Y
0.3312 0.0000 0.2500 Y
0.3312 0.3312 0.7500 Y
0.6688 0.0000 0.7500 Y
0.6688 0.6688 0.2500 Y
0.0000 0.0000 0.0000 Tm
0.0000 0.0000 0.5000 Tm
```

Peak list (10 most intense, 10° ≤ 2θ ≤ 90°, sorted by position)
two_theta  I (rel.)
28.61  20
29.64  20
30.75  29
32.57  100
42.50  14
50.68  22
55.84  21
60.46  25
61.55  16
83.67  13



Record 4
The following is a computed powder XRD pattern of Hf2CrPb. It was derived from a structure optimized by DFT (PBE), using λ = 1.5418 Å (Cu Kα).
Kinematic intensities with the Lorentz-polarization factor, no thermal factor.

```
Hf2CrPb
1.0
3.2263 0.0000 0.0000
0.0000 3.2263 0.0000
0.0000 0.0000 7.9432
Hf Cr Pb
2 1 1
Direct
0.0000 0.0000 0.1915 Hf
0.0000 0.0000 0.8085 Hf
0.5000 0.5000 0.0000 Cr
0.5000 0.5000 0.5000 Pb
```

Peak list (10 most intense, 10° ≤ 2θ ≤ 90°, sorted by position)
two_theta  I (rel.)
29.89  45
33.86  23
35.86  100
39.50  53
52.98  27
57.10  18
65.49  16
65.78  10
68.06  13
69.29  29



Record 5
The following is a computed powder XRD pattern of Nd2BeSbRh6. It was derived from a structure optimized by DFT (PBE), using λ = 1.5418 Å (Cu Kα).
Kinematic intensities with the Lorentz-polarization factor, no thermal factor.

```
Nd2BeSbRh6
1.0
5.5728 -3.2228 0.0000
5.5728 3.2228 0.0000
-3.7091 0.0000 5.2541
Nd Be Sb Rh
2 1 1 6
Direct
0.2499 0.2499 0.2499 Nd
0.7501 0.7501 0.7501 Nd
0.0000 0.0000 0.5000 Be
0.5000 0.5000 0.0000 Sb
0.2295 0.2295 0.7295 Rh
0.2297 0.7703 0.2705 Rh
0.2297 0.7703 0.7295 Rh
0.7703 0.2297 0.2705 Rh
0.7703 0.2297 0.7295 Rh
0.7705 0.7705 0.2705 Rh
```

Peak list (10 most intense, 10° ≤ 2θ ≤ 90°, sorted by position)
two_theta  I (rel.)
27.71  20
32.62  11
34.11  100
39.59  86
43.31  16
57.22  46
57.30  9
68.32  28
71.77  9
71.89  9



Record 6
The following is a computed powder XRD pattern of K3Tl9Pt2. It was derived from a structure optimized by DFT (PBE), using λ = 1.5418 Å (Cu Kα).
Kinematic intensities with the Lorentz-polarization factor, no thermal factor.

```
K3Tl9Pt2
1.0
5.9792 -6.5321 0.0000
5.9792 6.5321 0.0000
-1.5401 0.0000 5.8949
K Tl Pt
3 9 2
Direct
0.0000 0.0000 0.0000 K
0.2343 0.2343 0.5932 K
0.7657 0.7657 0.4068 K
0.1563 0.6723 0.7132 Tl
0.1599 0.4435 0.1335 Tl
0.3277 0.8437 0.2868 Tl
0.4435 0.1599 0.1335 Tl
0.5000 0.5000 0.0000 Tl
0.5565 0.8401 0.8665 Tl
0.6723 0.1563 0.7132 Tl
0.8401 0.5565 0.8665 Tl
0.8437 0.3277 0.2868 Tl
0.3991 0.6009 0.5000 Pt
0.6009 0.3991 0.5000 Pt
```

Peak list (10 most intense, 10° ≤ 2θ ≤ 90°, sorted by position)
two_theta  I (rel.)
10.21  100
13.56  21
25.44  20
27.76  37
30.80  19
31.48  22
33.23  71
33.36  46
33.94  46
37.64  29



Record 7
The following is a computed powder XRD pattern of Ca6Ge3H2. It was derived from a structure optimized by DFT (PBE), using λ = 1.5418 Å (Cu Kα).
Kinematic intensities with the Lorentz-polarization factor, no thermal factor.

```
Ca6Ge3H2
1.0
-2.4482 2.4482 11.0563
2.4482 -2.4482 11.0563
2.4482 2.4482 -11.0563
Ca Ge H
6 3 2
Direct
0.0819 0.5819 0.5000 Ca
0.2041 0.2041 0.0000 Ca
0.4181 0.9181 0.5000 Ca
0.5819 0.0819 0.5000 Ca
0.7959 0.7959 0.0000 Ca
0.9181 0.4181 0.5000 Ca
0.3378 0.3378 0.0000 Ge
0.5000 0.5000 0.0000 Ge
0.6622 0.6622 0.0000 Ge
0.0977 0.0977 0.0000 H
0.9023 0.9023 0.0000 H
```

Peak list (10 most intense, 10° ≤ 2θ ≤ 90°, sorted by position)
two_theta  I (rel.)
18.56  50
25.73  15
26.99  30
33.77  45
35.58  100
36.71  65
41.44  13
50.73  27
52.89  21
65.37  31



Record 8
The following is a computed powder XRD pattern of Ac2La3Sm. It was derived from a structure optimized by DFT (PBE), using λ = 1.5418 Å (Cu Kα).
Kinematic intensities with the Lorentz-polarization factor, no thermal factor.

```
Ac2La3Sm
1.0
6.9591 0.0000 0.0000
0.0000 18.8107 0.0000
0.0000 0.0000 3.6534
Ac La Sm
4 6 2
Direct
0.2278 0.1862 0.0000 Ac
0.2722 0.6862 0.5000 Ac
0.7278 0.3138 0.5000 Ac
0.7722 0.8138 0.0000 Ac
0.0000 0.5000 0.0000 La
0.2216 0.3608 0.5000 La
0.2784 0.8608 0.0000 La
0.5000 0.0000 0.5000 La
0.7216 0.1392 0.0000 La
0.7784 0.6392 0.5000 La
0.0000 0.0000 0.0000 Sm
0.5000 0.5000 0.5000 Sm
```

Peak list (10 most intense, 10° ≤ 2θ ≤ 90°, sorted by position)
two_theta  I (rel.)
22.82  46
24.83  42
27.33  100
28.27  94
28.47  65
31.29  50
32.00  50
33.63  32
38.51  82
52.10  40